This entry pairs a crystal structure of InGaPb2Au6 with its theoretical powder X-ray diffraction pattern. Radiation: a wavelength of 1.5418 Å. Structure: a GGA-PBE-relaxed structure.

Main lines, sorted by position (2θ from 5° to 70°):
2θ 24.74, intensity 41, hkl 1 0 2
2θ 27.60, intensity 79, hkl 0 2 2
2θ 31.86, intensity 56, hkl 1 2 2
2θ 37.10, intensity 76, hkl 2 0 2
2θ 37.47, intensity 100, hkl 2 2 0
2θ 38.69, intensity 88, hkl 1 2 3
2θ 40.12, intensity 71, hkl 0 4 0
2θ 55.80, intensity 51, hkl 2 4 2

Crystal structure
Cell: 5.678 8.989 9.303 Å, 90.00 90.00 90.00°
Sites, in units of the cell vectors:
1 In 0.250 0.250 0.226
2 In 0.750 0.750 0.774
3 Ga 0.250 0.750 0.253
4 Ga 0.750 0.250 0.747
5 Pb 0.250 0.503 0.787
6 Pb 0.250 0.997 0.787
7 Pb 0.750 0.003 0.213
8 Pb 0.750 0.497 0.213
9 Au 0.002 0.250 0.499
10 Au 0.002 0.750 0.023
11 Au 0.250 0.502 0.398
12 Au 0.250 0.998 0.398
13 Au 0.498 0.250 0.499
14 Au 0.498 0.750 0.023
15 Au 0.502 0.250 0.977
16 Au 0.502 0.750 0.501
17 Au 0.750 0.002 0.602
18 Au 0.750 0.498 0.602
19 Au 0.998 0.250 0.977
20 Au 0.998 0.750 0.501